# 1
Starting from a cell relaxed with GGA-PBE, the powder XRD pattern of MgZrBr was calculated for copper Kα.
Peak positions follow from Bragg's law for the DFT cell and can differ from measured ones.

Top 10 peaks for 5 to 70 degrees two-theta, by angle:
2theta  I (rel.)
12.22  74
30.09  12
32.59  100
37.25  16
39.24  72
48.61  17
53.44  24
64.01  13
66.94  16
68.28  13

Atomic structure:
a b c (Å): 3.429 3.429 7.242
angles (deg): 90.00 90.00 120.00
Positions (direct):
Mg 0.000 0.000 0.000
Zr 0.667 0.333 0.323
Br 0.333 0.667 0.593

---

# 2
Starting from a cell relaxed with GGA-PBE, the powder XRD pattern of Rb4Nd3NpS8 was calculated for copper Kα.
Peak positions follow from Bragg's law for the DFT cell and can differ from measured ones.

Top 10 peaks for 5 to 70 degrees two-theta, by angle:
2theta  I (rel.)
11.49  30
23.10  23
25.61  47
28.95  100
39.81  37
42.95  35
46.53  14
49.33  19
52.63  18
65.71  14

Atomic structure:
a b c (Å): 9.109 9.109 9.109
angles (deg): 55.07 55.07 55.07
Positions (direct):
Rb 0.000 0.000 0.000
Rb 0.000 0.500 0.500
Rb 0.500 0.000 0.500
Rb 0.500 0.500 0.000
Nd 0.000 0.000 0.500
Nd 0.000 0.500 0.000
Nd 0.500 0.000 0.000
Np 0.500 0.500 0.500
S 0.233 0.233 0.233
S 0.236 0.729 0.729
S 0.271 0.271 0.764
S 0.271 0.764 0.271
S 0.729 0.236 0.729
S 0.729 0.729 0.236
S 0.764 0.271 0.271
S 0.767 0.767 0.767

---

# 3
Starting from a cell relaxed with GGA-PBE, the powder XRD pattern of Dy2Er4In was calculated for copper Kα.
Peak positions follow from Bragg's law for the DFT cell and can differ from measured ones.

Top 10 peaks for 5 to 70 degrees two-theta, by angle:
2theta  I (rel.)
28.88  79
30.36  57
31.36  54
32.32  74
33.36  100
33.82  49
35.37  41
35.91  36
49.73  37
57.79  23

Atomic structure:
a b c (Å): 11.523 6.399 11.973
angles (deg): 70.35 31.54 78.11
Positions (direct):
Dy 0.227 0.773 0.298
Dy 0.548 0.952 0.477
Dy 0.773 0.227 0.702
Dy 0.952 0.548 0.023
Er 0.001 0.691 0.231
Er 0.019 0.173 0.249
Er 0.173 0.019 0.559
Er 0.352 0.497 0.486
Er 0.497 0.352 0.664
Er 0.586 0.764 0.753
Er 0.691 0.001 0.077
Er 0.764 0.586 0.898
In 0.079 0.079 0.921
In 0.329 0.329 0.171

---

# 4
Starting from a cell relaxed with GGA-PBE, the powder XRD pattern of CePuAsO was calculated for copper Kα.
Peak positions follow from Bragg's law for the DFT cell and can differ from measured ones.

Top 10 peaks for 5 to 70 degrees two-theta, by angle:
2theta  I (rel.)
9.02  76
18.10  39
27.29  28
28.35  43
32.14  100
35.09  26
35.94  79
44.09  50
48.60  39
65.85  23

Atomic structure:
a b c (Å): 4.108 4.108 9.804
angles (deg): 90.00 90.00 90.00
Positions (direct):
Ce 0.250 0.250 0.119
Ce 0.750 0.750 0.881
Pu 0.250 0.750 0.500
Pu 0.750 0.250 0.500
As 0.250 0.250 0.718
As 0.750 0.750 0.282
O 0.250 0.750 0.000
O 0.750 0.250 0.000